Starting from a crystal structure in Alexandria, relaxed with GGA-PBE, the PXRD pattern of Ac2CeHg7 was simulated for CuKα.
No peak broadening, texture or thermal motion is included.

Structural model:
Lattice parameters (Å, degrees): 4.9914 4.9914 14.7518 90.00 90.00 120.00
Atoms (fractional coordinates):
Ac (0.0000, 0.0000, 0.0000)
Ac (0.3333, 0.6667, 0.6521)
Ce (0.6667, 0.3333, 0.3222)
Hg (0.0000, 0.0000, 0.2456)
Hg (0.0000, 0.0000, 0.7708)
Hg (0.3333, 0.6667, 0.1840)
Hg (0.3333, 0.6667, 0.4257)
Hg (0.3333, 0.6667, 0.8789)
Hg (0.6667, 0.3333, 0.1002)
Hg (0.6667, 0.3333, 0.5378)

Largest 10 diffraction maxima, in order of falling intensity, 15 to 90 degrees two-theta:
Position (°2θ), intensity, hkl
31.90, 100, 1 0 4
35.99, 92, 1 1 0
36.89, 34, 0 1 5
48.84, 31, 0 2 4
62.14, 31, 2 1 4
21.42, 28, 1 0 1
64.69, 17, 3 0 0
23.86, 16, 0 1 2
68.49, 15, 1 1 9
85.09, 14, 1 3 4